The following is a computed powder diffractogram of Li3FeOF3. It was derived from a structure optimized by DFT (GGA+U), using Cu Kα, 1.54184 Å.
Kinematic intensities with the Lorentz-polarization factor, no thermal factor.

a = 5.132 Å, b = 6.085 Å, c = 9.913 Å
α = 90.00°, β = 101.40°, γ = 90.00°
Space group P2/c (No. 13)
Unique sites:
Li1 0.000 0.116 0.250 x2
Li2 0.251 0.132 0.993 x4
Li3 0.282 0.377 0.496 x4
Li4 0.500 0.135 0.750 x2
Fe1 0.000 0.368 0.750 x2
Fe2 0.500 0.398 0.250 x2
O1 0.360 0.373 0.869 x4
F1 0.111 0.353 0.119 x4
F2 0.128 0.107 0.621 x4
F3 0.378 0.126 0.370 x4

Largest 10 diffraction maxima, by intensity, 10 to 90 degrees two-theta:
- (1 2 -3), 2θ 42.25, 2.139 Å, intensity 1000
- (0 1 2), 2θ 23.40, 3.801 Å, intensity 696
- (0 0 2), 2θ 18.26, 4.859 Å, intensity 639
- (2 0 2), 2θ 43.67, 2.073 Å, intensity 463
- (0 1 0), 2θ 14.56, 6.085 Å, intensity 440
- (3 2 -1), 2θ 62.28, 1.491 Å, intensity 253
- (1 2 5), 2θ 62.49, 1.486 Å, intensity 251
- (1 2 -1), 2θ 34.75, 2.581 Å, intensity 239
- (1 1 1), 2θ 26.01, 3.426 Å, intensity 217
- (2 0 -6), 2θ 61.69, 1.504 Å, intensity 141